Diffraction record for FeTc2B. The X-ray diffraction stick pattern is calculated, not measured: it uses a crystal structure in Alexandria, relaxed with GGA-PBE and λ = 1.5418 Å (Cu Kα).
Lines closer than 0.1° are merged.

Structure:
Cell lengths 6.7521, 7.1423, 7.6166 Å; angles 90.00, 90.00, 90.00 degrees
Space group Fmmm (No. 69)
Asymmetric unit:
Fe (0.0000, 0.1740, 0.0000) x8
Tc (0.1774, 0.0000, 0.5000) x8
Tc (0.2500, 0.2500, 0.2500) x8
B (0.0000, 0.0000, 0.2269) x8

Principal peaks in the range 2θ = 5–70°, most intense first:
d/Å, Rel. int.
2.063, 100
2.605, 44
1.904, 24
2.154, 20
3.376, 16
2.526, 13
1.639, 12
1.578, 11
1.682, 10
1.786, 10


Diffraction record for ThFe10B2. The X-ray diffraction stick pattern is calculated, not measured: it uses a crystal structure in Alexandria, relaxed with GGA-PBE and λ = 1.5418 Å (Cu Kα).
Lines closer than 0.1° are merged.

Structure:
Cell lengths 8.2069, 9.3335, 7.8803 Å; angles 90.00, 90.00, 90.00 degrees
Space group Cmcm (No. 63)
Asymmetric unit:
Th (0.0000, 0.1099, 0.2500) x4
Fe (0.0000, 0.1733, 0.5933) x8
Fe (0.0000, 0.3879, 0.0756) x8
Fe (0.1427, 0.3865, 0.7500) x8
Fe (0.2347, 0.0000, 0.0000) x8
Fe (0.2421, 0.3518, 0.2500) x8
B (0.2500, 0.2500, 0.0000) x8

Principal peaks in the range 2θ = 5–70°, most intense first:
d/Å, Rel. int.
1.999, 100
2.289, 53
2.185, 53
2.053, 51
2.008, 42
2.870, 42
1.988, 41
2.729, 34
2.333, 29
2.028, 27


Diffraction record for ThFe9B4. The X-ray diffraction stick pattern is calculated, not measured: it uses a crystal structure in Alexandria, relaxed with GGA-PBE and λ = 1.5418 Å (Cu Kα).
Lines closer than 0.1° are merged.

Structure:
Cell lengths 7.3630, 7.3630, 11.1377 Å; angles 90.00, 90.00, 90.00 degrees
Space group I4/m (No. 87)
Asymmetric unit:
Th (0.0000, 0.0000, 0.2464) x4
Fe (0.0000, 0.5000, 0.0000) x4
Fe (0.0889, 0.8009, 0.5000) x8
Fe (0.1058, 0.8064, 0.0000) x8
Fe (0.1220, 0.3540, 0.1775) x16
B (0.1321, 0.3193, 0.3641) x16

Principal peaks in the range 2θ = 5–70°, most intense first:
d/Å, Rel. int.
2.148, 100
3.071, 23
3.803, 22
2.455, 22
2.784, 21
1.646, 19
3.682, 16
2.328, 15
1.417, 15
2.221, 15


Diffraction record for TiFeB. The X-ray diffraction stick pattern is calculated, not measured: it uses a crystal structure in Alexandria, relaxed with GGA-PBE and λ = 1.5418 Å (Cu Kα).
Lines closer than 0.1° are merged.

Structure:
Cell lengths 3.9682, 2.9167, 5.6053 Å; angles 90.00, 98.46, 90.00 degrees
Space group P2_1/m (No. 11)
Asymmetric unit:
Ti (0.2194, 0.2500, 0.3579) x2
Fe (0.3293, 0.2500, 0.8323) x2
B (0.1333, 0.7500, 0.0274) x2

Principal peaks in the range 2θ = 5–70°, most intense first:
d/Å, Rel. int.
2.341, 100
2.009, 71
2.122, 47
2.440, 33
1.963, 19
1.871, 17
2.228, 16
1.942, 15
1.458, 15
2.772, 10


Diffraction record for Ti3FeB7. The X-ray diffraction stick pattern is calculated, not measured: it uses a crystal structure in Alexandria, relaxed with GGA-PBE and λ = 1.5418 Å (Cu Kα).
Lines closer than 0.1° are merged.

Structure:
Cell lengths 3.0995, 14.0935, 8.7066 Å; angles 90.00, 90.00, 90.00 degrees
Space group Cmcm (No. 63)
Asymmetric unit:
Ti (0.0000, 0.1069, 0.0508) x8
Ti (0.0000, 0.2474, 0.7500) x4
Fe (0.0000, 0.0473, 0.7500) x4
B (0.0000, 0.2720, 0.0327) x8
B (0.0000, 0.3676, 0.1513) x8
B (0.0000, 0.4334, 0.7500) x4
B (0.0000, 0.4862, 0.0942) x8

Principal peaks in the range 2θ = 5–70°, most intense first:
d/Å, Rel. int.
2.095, 100
2.739, 88
2.028, 83
3.027, 78
2.684, 58
1.881, 44
2.224, 35
1.550, 33
1.694, 32
2.349, 30


Diffraction record for TiFe22B6. The X-ray diffraction stick pattern is calculated, not measured: it uses a crystal structure in Alexandria, relaxed with GGA-PBE and λ = 1.5418 Å (Cu Kα).
Lines closer than 0.1° are merged.

Structure:
Cell lengths 10.6013, 10.6013, 10.6013 Å; angles 90.00, 90.00, 90.00 degrees
Space group Fm-3m (No. 225)
Asymmetric unit:
Ti (0.0000, 0.0000, 0.0000) x4
Fe (0.0000, 0.1724, 0.1724) x48
Fe (0.1184, 0.1184, 0.3816) x32
Fe (0.2500, 0.2500, 0.2500) x8
B (0.0000, 0.0000, 0.2732) x24

Principal peaks in the range 2θ = 5–70°, most intense first:
d/Å, Rel. int.
2.040, 100
1.792, 31
2.164, 27
2.371, 25
1.874, 23
1.767, 11
1.598, 8
2.650, 5
3.060, 3
1.617, 2


Diffraction record for TmFe4B4. The X-ray diffraction stick pattern is calculated, not measured: it uses a crystal structure in Alexandria, relaxed with GGA-PBE and λ = 1.5418 Å (Cu Kα).
Lines closer than 0.1° are merged.

Structure:
Cell lengths 6.8992, 6.8992, 3.8248 Å; angles 90.00, 90.00, 90.00 degrees
Space group P4_2/n (No. 86, origin choice 2)
Asymmetric unit:
Tm (0.2500, 0.2500, 0.2500) x2
Fe (0.1180, 0.6339, 0.1392) x8
B (0.0520, 0.9173, 0.1425) x8

Principal peaks in the range 2θ = 5–70°, most intense first:
d/Å, Rel. int.
2.401, 100
2.182, 72
3.345, 67
1.711, 31
3.450, 31
2.439, 18
1.533, 16
1.438, 16
1.843, 14
1.971, 14


Diffraction record for UFeB3. The X-ray diffraction stick pattern is calculated, not measured: it uses a crystal structure in Alexandria, relaxed with GGA-PBE and λ = 1.5418 Å (Cu Kα).
Lines closer than 0.1° are merged.

Structure:
Cell lengths 3.7223, 18.2337, 3.0417 Å; angles 90.00, 90.00, 90.00 degrees
Space group Cmcm (No. 63)
Asymmetric unit:
U (0.0000, 0.0779, 0.2500) x4
Fe (0.0000, 0.2059, 0.7500) x4
B (0.0000, 0.3184, 0.7500) x4
B (0.0000, 0.3660, 0.2500) x4
B (0.0000, 0.4754, 0.2500) x4

Principal peaks in the range 2θ = 5–70°, most intense first:
d/Å, Rel. int.
2.196, 100
3.647, 98
2.530, 63
9.117, 55
2.134, 48
2.885, 32
3.039, 32
1.564, 28
1.499, 27
1.861, 19